1.
Diffraction record for Sr3Se2Cl2O6. The XRD peak list is theoretical, not measured: it uses a DFT-relaxed cell (GGA-PBE, Alexandria) and copper Kα.
Neutral-atom scattering factors, no anomalous dispersion.

Structural model:
```
data_Sr3Se2Cl2O6
_cell_length_a 13.3456
_cell_length_b 5.6579
_cell_length_c 6.9062
_cell_angle_alpha 90.00
_cell_angle_beta 99.01
_cell_angle_gamma 90.00
_symmetry_space_group_name_H-M 'C 1 2 1'
_symmetry_Int_Tables_number 5
loop_
_symmetry_equiv_pos_as_xyz
'x,y,z'
'-x,y,-z'
'x+1/2,y+1/2,z'
'-x+1/2,y+1/2,-z'
loop_
_atom_site_label
_atom_site_fract_x
_atom_site_fract_y
_atom_site_fract_z
_atom_site_occupancy
Sr1 0.0000 0.0000 0.0000 1
Sr2 0.2183 0.5442 0.2117 1
Se1 0.0884 0.5461 0.7391 1
Cl1 0.1689 0.0594 0.3686 1
O1 0.0333 0.5984 0.2259 1
O2 0.1271 0.3005 0.8842 1
O3 0.1497 0.7696 0.8896 1
```

Most intense lines, 2θ = 5–70°, most intense first:
2theta  I/Imax  index
27.36  1000  3 1 -1
32.27  614  1 1 2
31.63  346  0 2 0
45.58  272  4 2 1
12.98  246  0 0 1
31.96  224  4 0 1
26.13  190  0 0 2
53.76  148  3 3 -1
51.12  140  7 1 0
42.40  139  1 1 -3

2.
Diffraction record for Na2PmSn3. The XRD peak list is theoretical, not measured: it uses a DFT-relaxed cell (GGA-PBE, Alexandria) and copper Kα.
Neutral-atom scattering factors, no anomalous dispersion.

Structural model:
```
data_Na2PmSn3
_cell_length_a 3.3351
_cell_length_b 3.3351
_cell_length_c 14.7810
_cell_angle_alpha 90.00
_cell_angle_beta 90.00
_cell_angle_gamma 90.00
_symmetry_space_group_name_H-M 'P 4/m m m'
_symmetry_Int_Tables_number 123
_symmetry_space_group_name_Hall '-P 4 2'
loop_
_atom_site_label
_atom_site_fract_x
_atom_site_fract_y
_atom_site_fract_z
_atom_site_occupancy
Na1 0.0000 0.0000 0.1692 1
Pm1 0.0000 0.0000 0.5000 1
Sn1 0.5000 0.5000 0.0000 1
Sn2 0.5000 0.5000 0.3366 1
```

Most intense lines, 2θ = 5–70°, most intense first:
2theta  I/Imax  index
32.42  1000  1 0 3
5.98  564  0 0 1
38.16  323  1 1 0
65.37  271  2 1 3
53.81  240  1 1 6
36.47  182  0 0 6
63.10  148  1 0 9
11.98  139  0 0 2
67.87  121  2 0 6
55.07  113  2 0 0